# 1
# LiAl2Fe4
Simulated PXRD pattern, copper Kα. Input: a cell relaxed with GGA-PBE.

Structural model:
a b c (Å): 6.868 6.868 4.135
angles (deg): 90.00 90.00 90.00
Fractional coordinates of all 14 atoms:
Li (0.000, 0.000, 0.000)
Li (0.500, 0.500, 0.500)
Al (0.213, 0.213, 0.500)
Al (0.287, 0.713, 0.000)
Al (0.713, 0.287, 0.000)
Al (0.787, 0.787, 0.500)
Fe (0.114, 0.380, 0.000)
Fe (0.120, 0.614, 0.500)
Fe (0.380, 0.114, 0.000)
Fe (0.386, 0.880, 0.500)
Fe (0.614, 0.120, 0.500)
Fe (0.620, 0.886, 0.000)
Fe (0.880, 0.386, 0.500)
Fe (0.886, 0.620, 0.000)

Largest 10 diffraction maxima, in order of rising 2θ, 10° ≤ 2θ ≤ 80°:
- 18.3 deg, I = 100, (1 1 0)
- 28.3 deg, I = 14, (1 1 1)
- 41.6 deg, I = 16, (3 1 0)
- 43.2 deg, I = 82, (2 2 1)
- 43.8 deg, I = 29, (0 0 2)
- 47.3 deg, I = 58, (3 1 1)
- 47.8 deg, I = 15, (1 1 2)
- 53.4 deg, I = 14, (4 0 0)
- 62.0 deg, I = 9, (3 1 2)
- 71.4 deg, I = 10, (4 0 2)

# 2
# LiAl8Fe2
Simulated PXRD pattern, copper Kα. Input: a cell relaxed with GGA-PBE.

Structural model:
a b c (Å): 5.120 4.152 7.752
angles (deg): 90.00 106.45 90.00
Fractional coordinates of all 11 atoms:
Li (0.000, 0.000, 0.000)
Al (0.045, 0.000, 0.680)
Al (0.128, 0.000, 0.330)
Al (0.286, 0.500, 0.115)
Al (0.289, 0.500, 0.570)
Al (0.502, 0.000, 0.934)
Al (0.611, 0.000, 0.281)
Al (0.752, 0.500, 0.484)
Al (0.769, 0.500, 0.832)
Fe (0.544, 0.000, 0.616)
Fe (0.805, 0.500, 0.168)

Largest 10 diffraction maxima, in order of rising 2θ, 10° ≤ 2θ ≤ 80°:
- 18.1 deg, I = 31, (1 0 0)
- 23.9 deg, I = 26, (0 0 2)
- 24.6 deg, I = 33, (0 1 1)
- 28.1 deg, I = 24, (1 1 0)
- 41.9 deg, I = 50, (1 1 -3)
- 42.5 deg, I = 78, (0 1 3)
- 42.8 deg, I = 100, (2 1 0)
- 43.6 deg, I = 58, (0 2 0)
- 43.8 deg, I = 30, (2 1 -2)
- 44.0 deg, I = 29, (2 0 -3)